Calculated PXRD pattern
Compound: MgPbN
Radiation: Cu Kα
Structure: a structure optimized by DFT (PBE)
Kinematic intensities with the Lorentz-polarization factor, no thermal factor.

Top 10 peaks for 2θ from 15° to 90°, sorted by position:
| 2θ (°) | intensity |
| --- | --- |
| 15.2 | 100 |
| 29.7 | 98 |
| 30.7 | 72 |
| 32.2 | 44 |
| 34.9 | 40 |
| 36.2 | 21 |
| 41.0 | 30 |
| 45.4 | 19 |
| 62.3 | 20 |
| 65.7 | 17 |

Structure:
```
MgPbN
1.0
3.0709 -1.7328 0.0000
3.0709 1.7328 0.0000
-1.1667 0.0000 5.8263
Mg Pb N
1 1 1
Direct
0.0000 0.0000 0.0000
0.7550 0.7550 0.4435
0.6820 0.6820 0.0656
```